For DyPa3Mn4N12, a cell relaxed with PBE gives the calculated X-ray powder pattern in this record (CuKα).

Structure:
```
data_DyPa3Mn4N12
_cell_length_a 7.022
_cell_length_b 7.022
_cell_length_c 7.022
_cell_angle_alpha 104.89
_cell_angle_beta 104.89
_cell_angle_gamma 104.89
_space_group_name_H-M_alt 'P 1'
_space_group_IT_number 1
loop_
_space_group_symop_operation_xyz
'x,y,z'
loop_
_atom_site_label
_atom_site_fract_x
_atom_site_fract_y
_atom_site_fract_z
_atom_site_occupancy
Dy1 0.000 0.000 0.000 1
Pa1 0.000 0.544 0.456 1
Pa2 0.456 0.000 0.544 1
Pa3 0.544 0.456 0.000 1
Mn1 0.045 0.500 0.955 1
Mn2 0.500 0.500 0.500 1
Mn3 0.500 0.955 0.045 1
Mn4 0.955 0.045 0.500 1
N1 0.028 0.658 0.802 1
N2 0.111 0.889 0.500 1
N3 0.198 0.342 0.972 1
N4 0.342 0.972 0.198 1
N5 0.344 0.656 0.500 1
N6 0.500 0.111 0.889 1
N7 0.500 0.344 0.656 1
N8 0.656 0.500 0.344 1
N9 0.658 0.802 0.028 1
N10 0.802 0.028 0.658 1
N11 0.889 0.500 0.111 1
N12 0.972 0.198 0.342 1
```

Most intense lines, 2θ from 5° to 70°, by intensity:
- 3.184 Å, I = 100
- 4.191 Å, I = 57
- 2.783 Å, I = 41
- 1.941 Å, I = 24
- 2.550 Å, I = 24
- 3.348 Å, I = 23
- 2.095 Å, I = 17
- 5.567 Å, I = 17
- 1.983 Å, I = 15
- 1.697 Å, I = 15